[1]
K5Hf2S6: calculated powder diffractogram (Cu Kα), based on a crystal structure in Alexandria, relaxed with GGA-PBE.
Neutral-atom scattering factors, no anomalous dispersion.

Main lines, by angle (10 to 80 degrees two-theta):
| hkl | Position (°2θ) | I/Imax |
| --- | --- | --- |
| 0 0 2 | 10.7 | 473 |
| 1 1 -1 | 13.4 | 1000 |
| 2 0 0 | 13.9 | 550 |
| 1 1 1 | 14.5 | 552 |
| 2 0 -2 | 15.8 | 740 |
| 1 1 2 | 17.7 | 403 |
| 3 1 1 | 25.2 | 371 |
| 3 1 -3 | 26.1 | 340 |
| 0 2 3 | 27.2 | 659 |
| 6 0 -2 | 41.8 | 285 |

```
data_K5Hf2S6
_space_group_name_H-M_alt 'C 1 2/c 1'
_space_group_IT_number 15
_cell_length_a 12.9905
_cell_length_b 8.1746
_cell_length_c 16.8764
_cell_angle_alpha 90.00
_cell_angle_beta 101.85
_cell_angle_gamma 90.00
loop_
_space_group_symop_operation_xyz
'x,y,z'
'-x,-y,-z'
'-x,y,-z+1/2'
'x,-y,z+1/2'
'x+1/2,y+1/2,z'
'-x+1/2,-y+1/2,-z'
'-x+1/2,y+1/2,-z+1/2'
'x+1/2,-y+1/2,z+1/2'
loop_
_atom_site_label
_atom_site_fract_x
_atom_site_fract_y
_atom_site_fract_z
K1 0.0000 0.1560 0.2500
K2 0.0486 0.2386 0.0007
K3 0.1568 0.3787 0.7266
Hf1 0.2262 0.3792 0.4267
S1 0.0545 0.4775 0.3724
S2 0.1433 0.0236 0.6428
S3 0.2203 0.0765 0.4260
```


[2]
K3HfS3: calculated powder diffractogram (Cu Kα), based on a crystal structure in Alexandria, relaxed with GGA-PBE.
Neutral-atom scattering factors, no anomalous dispersion.

Main lines, by angle (10 to 80 degrees two-theta):
| hkl | Position (°2θ) | I/Imax |
| --- | --- | --- |
| 0 0 1 | 11.7 | 224 |
| 1 1 0 | 12.3 | 346 |
| 0 2 0 | 13.4 | 607 |
| 1 1 -1 | 15.5 | 1000 |
| 1 3 -1 | 24.6 | 232 |
| 1 1 -2 | 24.7 | 435 |
| 2 2 1 | 29.2 | 311 |
| 3 1 -1 | 31.9 | 432 |
| 1 3 2 | 34.4 | 299 |
| 3 3 0 | 37.4 | 251 |

```
data_K3HfS3
_space_group_name_H-M_alt 'C 1 2/m 1'
_space_group_IT_number 12
_cell_length_a 8.7587
_cell_length_b 13.2313
_cell_length_c 7.7100
_cell_angle_alpha 90.00
_cell_angle_beta 101.28
_cell_angle_gamma 90.00
loop_
_space_group_symop_operation_xyz
'x,y,z'
'-x,-y,-z'
'-x,y,-z'
'x,-y,z'
'x+1/2,y+1/2,z'
'-x+1/2,-y+1/2,-z'
'-x+1/2,y+1/2,-z'
'x+1/2,-y+1/2,z'
loop_
_atom_site_label
_atom_site_fract_x
_atom_site_fract_y
_atom_site_fract_z
K1 0.0000 0.1730 0.0000
K2 0.0000 0.2639 0.5000
K3 0.1116 0.5000 0.8450
Hf1 0.1735 0.0000 0.6402
S1 0.0963 0.0000 0.3101
S2 0.2006 0.3516 0.2228
```


[3]
K2HfSc2S6: calculated powder diffractogram (Cu Kα), based on a crystal structure in Alexandria, relaxed with GGA-PBE.
Neutral-atom scattering factors, no anomalous dispersion.

Main lines, by angle (10 to 80 degrees two-theta):
| hkl | Position (°2θ) | I/Imax |
| --- | --- | --- |
| 0 0 1 | 11.8 | 1000 |
| 1 1 0 | 16.3 | 412 |
| 0 2 1 | 19.7 | 265 |
| 2 0 -2 | 31.7 | 370 |
| 1 3 1 | 31.8 | 747 |
| 1 3 2 | 39.4 | 168 |
| 1 3 -3 | 42.4 | 247 |
| 2 0 2 | 42.5 | 158 |
| 0 6 0 | 48.6 | 340 |
| 4 0 0 | 59.2 | 170 |

```
data_K2HfSc2S6
_space_group_name_H-M_alt 'C 1 2/m 1'
_space_group_IT_number 12
_cell_length_a 6.5001
_cell_length_b 11.2359
_cell_length_c 7.8375
_cell_angle_alpha 90.00
_cell_angle_beta 106.30
_cell_angle_gamma 90.00
loop_
_space_group_symop_operation_xyz
'x,y,z'
'-x,-y,-z'
'-x,y,-z'
'x,-y,z'
'x+1/2,y+1/2,z'
'-x+1/2,-y+1/2,-z'
'-x+1/2,y+1/2,-z'
'x+1/2,-y+1/2,z'
loop_
_atom_site_label
_atom_site_fract_x
_atom_site_fract_y
_atom_site_fract_z
K1 0.0000 0.1680 0.0000
Hf1 0.0000 0.0000 0.5000
Sc1 0.0000 0.3331 0.5000
S1 0.2284 0.1640 0.6893
S2 0.2355 0.5000 0.6887
```


[4]
K2Sm2HfS6: calculated powder diffractogram (Cu Kα), based on a crystal structure in Alexandria, relaxed with GGA-PBE.
Neutral-atom scattering factors, no anomalous dispersion.

Main lines, by angle (10 to 80 degrees two-theta):
| hkl | Position (°2θ) | I/Imax |
| --- | --- | --- |
| 0 0 1 | 11.7 | 1000 |
| 0 0 2 | 23.6 | 150 |
| 1 3 0 | 26.2 | 203 |
| 1 3 -1 | 27.1 | 178 |
| 2 0 -2 | 30.2 | 281 |
| 1 3 1 | 30.5 | 548 |
| 1 3 2 | 38.3 | 154 |
| 2 0 2 | 41.3 | 295 |
| 3 3 -1 | 45.4 | 178 |
| 3 3 -2 | 47.1 | 127 |

```
data_K2Sm2HfS6
_space_group_name_H-M_alt 'C 1 2/m 1'
_space_group_IT_number 12
_cell_length_a 6.9436
_cell_length_b 11.8719
_cell_length_c 7.8897
_cell_angle_alpha 90.00
_cell_angle_beta 107.32
_cell_angle_gamma 90.00
loop_
_space_group_symop_operation_xyz
'x,y,z'
'-x,-y,-z'
'-x,y,-z'
'x,-y,z'
'x+1/2,y+1/2,z'
'-x+1/2,-y+1/2,-z'
'-x+1/2,y+1/2,-z'
'x+1/2,-y+1/2,z'
loop_
_atom_site_label
_atom_site_fract_x
_atom_site_fract_y
_atom_site_fract_z
K1 0.0000 0.1702 0.0000
Sm1 0.0000 0.3337 0.5000
Hf1 0.0000 0.0000 0.5000
S1 0.2209 0.1553 0.6956
S2 0.2394 0.0000 0.3057
```


[5]
K4Sm3HfS8: calculated powder diffractogram (Cu Kα), based on a crystal structure in Alexandria, relaxed with GGA-PBE.
Neutral-atom scattering factors, no anomalous dispersion.

Main lines, by angle (10 to 80 degrees two-theta):
| hkl | Position (°2θ) | I/Imax |
| --- | --- | --- |
| 0 0 3 | 12.0 | 772 |
| 0 0 6 | 24.1 | 172 |
| 0 2 1 | 25.8 | 256 |
| 2 0 2 | 26.7 | 349 |
| 0 2 4 | 30.2 | 1000 |
| 0 2 7 | 38.3 | 192 |
| 2 0 8 | 41.6 | 361 |
| 2 2 0 | 44.9 | 327 |
| 2 2 3 | 46.7 | 164 |
| 4 0 4 | 55.1 | 167 |

```
data_K4Sm3HfS8
_space_group_name_H-M_alt 'R -3 m'
_space_group_IT_number 166
_space_group_name_Hall '-R 3 2"'
_cell_length_a 8.0694
_cell_length_b 8.0694
_cell_length_c 22.1825
_cell_angle_alpha 90.00
_cell_angle_beta 90.00
_cell_angle_gamma 120.00
loop_
_atom_site_label
_atom_site_fract_x
_atom_site_fract_y
_atom_site_fract_z
K1 0.0000 0.0000 0.0000
K2 0.0000 0.5000 0.0000
Sm1 0.0000 0.5000 0.5000
Hf1 0.0000 0.0000 0.5000
S1 0.0000 0.0000 0.2372
S2 0.0224 0.5112 0.2336
```


[6]
K2SrHf3S8: calculated powder diffractogram (Cu Kα), based on a crystal structure in Alexandria, relaxed with GGA-PBE.
Neutral-atom scattering factors, no anomalous dispersion.

Main lines, by angle (10 to 80 degrees two-theta):
| hkl | Position (°2θ) | I/Imax |
| --- | --- | --- |
| 0 0 3 | 11.9 | 1000 |
| 1 0 1 | 13.9 | 199 |
| 1 0 4 | 20.7 | 259 |
| 0 0 6 | 23.9 | 314 |
| 1 1 3 | 26.1 | 415 |
| 0 2 1 | 27.1 | 525 |
| 0 2 4 | 31.2 | 557 |
| 0 2 7 | 39.0 | 440 |
| 2 0 8 | 42.2 | 360 |
| 2 2 0 | 47.3 | 343 |

```
data_K2SrHf3S8
_space_group_name_H-M_alt 'R 3 m'
_space_group_IT_number 160
_space_group_name_Hall 'R 3 -2"'
_cell_length_a 7.6937
_cell_length_b 7.6937
_cell_length_c 22.3942
_cell_angle_alpha 90.00
_cell_angle_beta 90.00
_cell_angle_gamma 120.00
loop_
_atom_site_label
_atom_site_fract_x
_atom_site_fract_y
_atom_site_fract_z
K1 0.0000 0.0000 0.0000
K2 0.0000 0.0000 0.3610
Sr1 0.0000 0.0000 0.6243
Hf1 0.1693 0.3387 0.8301
S1 0.0000 0.0000 0.2275
S2 0.0000 0.0000 0.7652
S3 0.0237 0.5118 0.7718
S4 0.1812 0.3624 0.5606
```


[7]
KHfSe2: calculated powder diffractogram (Cu Kα), based on a crystal structure in Alexandria, relaxed with GGA-PBE.
Neutral-atom scattering factors, no anomalous dispersion.

Main lines, by angle (10 to 80 degrees two-theta):
| hkl | Position (°2θ) | I/Imax |
| --- | --- | --- |
| 0 0 3 | 11.2 | 1000 |
| 0 1 2 | 27.7 | 483 |
| 0 1 5 | 32.8 | 957 |
| 1 0 7 | 37.8 | 298 |
| 0 1 8 | 40.7 | 168 |
| 1 0 10 | 47.0 | 282 |
| 1 1 0 | 47.1 | 373 |
| 1 1 3 | 48.6 | 172 |
| 2 0 5 | 58.6 | 178 |
| 1 2 5 | 78.4 | 153 |

```
data_KHfSe2
_space_group_name_H-M_alt 'R 3 m'
_space_group_IT_number 160
_space_group_name_Hall 'R 3 -2"'
_cell_length_a 3.8576
_cell_length_b 3.8576
_cell_length_c 23.7273
_cell_angle_alpha 90.00
_cell_angle_beta 90.00
_cell_angle_gamma 120.00
loop_
_atom_site_label
_atom_site_fract_x
_atom_site_fract_y
_atom_site_fract_z
K1 0.0000 0.0000 0.0000
Hf1 0.0000 0.0000 0.1694
Se1 0.0000 0.0000 0.5692
Se2 0.0000 0.0000 0.7691
```


[8]
K4Tb3HfSe8: calculated powder diffractogram (Cu Kα), based on a crystal structure in Alexandria, relaxed with GGA-PBE.
Neutral-atom scattering factors, no anomalous dispersion.

Main lines, by angle (10 to 80 degrees two-theta):
| hkl | Position (°2θ) | I/Imax |
| --- | --- | --- |
| 0 0 3 | 11.5 | 634 |
| 0 2 1 | 25.1 | 130 |
| 0 2 4 | 29.3 | 1000 |
| 0 2 7 | 37.0 | 209 |
| 2 0 8 | 40.1 | 348 |
| 2 2 0 | 43.7 | 346 |
| 2 2 3 | 45.4 | 137 |
| 2 0 11 | 50.3 | 122 |
| 4 0 4 | 53.5 | 176 |
| 2 4 4 | 71.5 | 144 |

```
data_K4Tb3HfSe8
_space_group_name_H-M_alt 'R -3 m'
_space_group_IT_number 166
_space_group_name_Hall '-R 3 2"'
_cell_length_a 8.2825
_cell_length_b 8.2825
_cell_length_c 23.1043
_cell_angle_alpha 90.00
_cell_angle_beta 90.00
_cell_angle_gamma 120.00
loop_
_atom_site_label
_atom_site_fract_x
_atom_site_fract_y
_atom_site_fract_z
K1 0.0000 0.0000 0.0000
K2 0.0000 0.5000 0.0000
Tb1 0.0000 0.5000 0.5000
Hf1 0.0000 0.0000 0.5000
Se1 0.0000 0.0000 0.2366
Se2 0.0162 0.5081 0.2343
```


[9]
K3HfTi3Se8: calculated powder diffractogram (Cu Kα), based on a crystal structure in Alexandria, relaxed with GGA-PBE.
Neutral-atom scattering factors, no anomalous dispersion.

Main lines, by angle (10 to 80 degrees two-theta):
| hkl | Position (°2θ) | I/Imax |
| --- | --- | --- |
| 0 0 1 | 11.3 | 646 |
| 1 1 0 | 14.1 | 149 |
| 4 0 0 | 31.3 | 1000 |
| 4 0 1 | 38.4 | 253 |
| 2 2 2 | 41.3 | 309 |
| 0 4 0 | 48.2 | 329 |
| 0 4 1 | 49.7 | 95 |
| 2 2 3 | 51.1 | 163 |
| 4 4 0 | 58.6 | 156 |
| 10 2 -2 | 79.2 | 127 |

```
data_K3HfTi3Se8
_space_group_name_H-M_alt 'C 1 2/m 1'
_space_group_IT_number 12
_cell_length_a 13.0734
_cell_length_b 7.5491
_cell_length_c 8.9657
_cell_angle_alpha 90.00
_cell_angle_beta 119.13
_cell_angle_gamma 90.00
loop_
_space_group_symop_operation_xyz
'x,y,z'
'-x,-y,-z'
'-x,y,-z'
'x,-y,z'
'x+1/2,y+1/2,z'
'-x+1/2,-y+1/2,-z'
'-x+1/2,y+1/2,-z'
'x+1/2,-y+1/2,z'
loop_
_atom_site_label
_atom_site_fract_x
_atom_site_fract_y
_atom_site_fract_z
K1 0.0000 0.0000 0.0000
K2 0.2500 0.2500 0.0000
Hf1 0.0000 0.0000 0.5000
Ti1 0.0000 0.5000 0.5000
Ti2 0.2500 0.2500 0.5000
Se1 0.0208 0.2560 0.3065
Se2 0.2299 0.5000 0.6898
Se3 0.2352 0.0000 0.6936
```


[10]
KHfTlSe3: calculated powder diffractogram (Cu Kα), based on a crystal structure in Alexandria, relaxed with GGA-PBE.
Neutral-atom scattering factors, no anomalous dispersion.

Main lines, by angle (10 to 80 degrees two-theta):
| hkl | Position (°2θ) | I/Imax |
| --- | --- | --- |
| 1 1 0 | 12.9 | 1000 |
| 2 0 0 | 23.4 | 269 |
| 0 4 1 | 26.0 | 214 |
| 1 3 1 | 26.1 | 487 |
| 0 0 2 | 26.9 | 265 |
| 1 5 0 | 30.3 | 252 |
| 2 0 -2 | 30.6 | 458 |
| 1 5 1 | 34.6 | 164 |
| 3 3 -1 | 38.3 | 155 |
| 2 0 2 | 40.7 | 218 |

```
data_KHfTlSe3
_space_group_name_H-M_alt 'C 1 2/c 1'
_space_group_IT_number 15
_cell_length_a 7.9065
_cell_length_b 16.0012
_cell_length_c 6.8701
_cell_angle_alpha 90.00
_cell_angle_beta 105.70
_cell_angle_gamma 90.00
loop_
_space_group_symop_operation_xyz
'x,y,z'
'-x,-y,-z'
'-x,y,-z+1/2'
'x,-y,z+1/2'
'x+1/2,y+1/2,z'
'-x+1/2,-y+1/2,-z'
'-x+1/2,y+1/2,-z+1/2'
'x+1/2,-y+1/2,z+1/2'
loop_
_atom_site_label
_atom_site_fract_x
_atom_site_fract_y
_atom_site_fract_z
K1 0.0000 0.0971 0.2500
Hf1 0.0000 0.4514 0.2500
Tl1 0.0000 0.2951 0.7500
Se1 0.0000 0.2953 0.2500
Se2 0.2180 0.4547 0.0065
```


[11]
K2HfU2Se6: calculated powder diffractogram (Cu Kα), based on a crystal structure in Alexandria, relaxed with GGA-PBE.
Neutral-atom scattering factors, no anomalous dispersion.

Main lines, by angle (10 to 80 degrees two-theta):
| hkl | Position (°2θ) | I/Imax |
| --- | --- | --- |
| 0 0 1 | 11.1 | 1000 |
| 1 3 0 | 25.8 | 160 |
| 2 0 -2 | 29.5 | 298 |
| 1 3 1 | 29.7 | 599 |
| 1 3 2 | 36.9 | 182 |
| 2 0 2 | 39.7 | 331 |
| 3 3 -1 | 44.8 | 199 |
| 0 6 0 | 45.1 | 97 |
| 1 3 -4 | 49.4 | 157 |
| 2 6 -2 | 54.8 | 101 |

```
data_K2HfU2Se6
_space_group_name_H-M_alt 'C 1 2/m 1'
_space_group_IT_number 12
_cell_length_a 7.0222
_cell_length_b 12.0602
_cell_length_c 8.3049
_cell_angle_alpha 90.00
_cell_angle_beta 106.66
_cell_angle_gamma 90.00
loop_
_space_group_symop_operation_xyz
'x,y,z'
'-x,-y,-z'
'-x,y,-z'
'x,-y,z'
'x+1/2,y+1/2,z'
'-x+1/2,-y+1/2,-z'
'-x+1/2,y+1/2,-z'
'x+1/2,-y+1/2,z'
loop_
_atom_site_label
_atom_site_fract_x
_atom_site_fract_y
_atom_site_fract_z
K1 0.0000 0.1698 0.0000
Hf1 0.0000 0.0000 0.5000
U1 0.0000 0.3333 0.5000
Se1 0.2281 0.1576 0.7020
Se2 0.2469 0.0000 0.2989
```


[12]
K2Y2HfSe6: calculated powder diffractogram (Cu Kα), based on a crystal structure in Alexandria, relaxed with GGA-PBE.
Neutral-atom scattering factors, no anomalous dispersion.

Main lines, by angle (10 to 80 degrees two-theta):
| hkl | Position (°2θ) | I/Imax |
| --- | --- | --- |
| 0 0 1 | 11.3 | 1000 |
| 2 0 -2 | 29.3 | 442 |
| 1 3 1 | 29.6 | 881 |
| 1 3 2 | 37.0 | 223 |
| 1 3 -3 | 39.8 | 286 |
| 2 0 2 | 40.0 | 147 |
| 3 3 -1 | 44.4 | 300 |
| 0 6 0 | 44.7 | 152 |
| 1 3 -4 | 49.7 | 140 |
| 2 6 -2 | 54.4 | 143 |

```
data_K2Y2HfSe6
_space_group_name_H-M_alt 'C 1 2/m 1'
_space_group_IT_number 12
_cell_length_a 7.0768
_cell_length_b 12.1513
_cell_length_c 8.2280
_cell_angle_alpha 90.00
_cell_angle_beta 107.15
_cell_angle_gamma 90.00
loop_
_space_group_symop_operation_xyz
'x,y,z'
'-x,-y,-z'
'-x,y,-z'
'x,-y,z'
'x+1/2,y+1/2,z'
'-x+1/2,-y+1/2,-z'
'-x+1/2,y+1/2,-z'
'x+1/2,-y+1/2,z'
loop_
_atom_site_label
_atom_site_fract_x
_atom_site_fract_y
_atom_site_fract_z
K1 0.0000 0.1706 0.0000
Y1 0.0000 0.3330 0.5000
Hf1 0.0000 0.0000 0.5000
Se1 0.2269 0.1573 0.6992
Se2 0.2464 0.0000 0.3025
```


[13]
KSrHf2: calculated powder diffractogram (Cu Kα), based on a crystal structure in Alexandria, relaxed with GGA-PBE.
Neutral-atom scattering factors, no anomalous dispersion.

Main lines, by angle (10 to 80 degrees two-theta):
| hkl | Position (°2θ) | I/Imax |
| --- | --- | --- |
| 0 0 4 | 13.7 | 510 |
| 0 0 8 | 27.7 | 492 |
| 1 1 2 | 29.6 | 1000 |
| 1 1 6 | 35.7 | 611 |
| 2 0 4 | 43.6 | 574 |
| 1 1 10 | 45.8 | 305 |
| 2 0 12 | 60.3 | 218 |
| 2 2 8 | 66.9 | 159 |
| 3 1 2 | 68.0 | 188 |
| 3 1 6 | 71.4 | 162 |

```
data_KSrHf2
_space_group_name_H-M_alt 'I -4 2 d'
_space_group_IT_number 122
_space_group_name_Hall 'I -4 2bw'
_cell_length_a 4.3875
_cell_length_b 4.3875
_cell_length_c 25.7848
_cell_angle_alpha 90.00
_cell_angle_beta 90.00
_cell_angle_gamma 90.00
loop_
_atom_site_label
_atom_site_fract_x
_atom_site_fract_y
_atom_site_fract_z
K1 0.0000 0.0000 0.0000
Sr1 0.0000 0.0000 0.5000
Hf1 0.2476 0.2500 0.6250
```